[1]
Computed X-ray powder pattern of BaSi4P for Cu Ka, from a cell relaxed with GGA-PBE.
Kinematic intensities with the Lorentz-polarization factor, no thermal factor.

Structural model:
Cell lengths 5.5042, 5.5042, 5.5042 Å; angles 60.00, 60.00, 60.00 degrees
Sites, in units of the cell vectors:
Ba  0.0000  0.0000  0.0000
Si  0.3812  0.3812  0.3812
Si  0.3812  0.3812  0.8563
Si  0.3812  0.8563  0.3812
Si  0.8563  0.3812  0.3812
P  0.7500  0.7500  0.7500

Principal peaks in the range 15° ≤ 2θ ≤ 90°, low angle first:
2θ (°), Rel. int.
19.75, 37
22.85, 34
32.53, 62
38.35, 100
40.13, 20
58.05, 23
61.94, 34
68.14, 20


[2]
Computed X-ray powder pattern of Pr2Nd4Y5 for Cu Ka, from a cell relaxed with GGA-PBE.
Kinematic intensities with the Lorentz-polarization factor, no thermal factor.

Structural model:
Cell lengths 6.8137, 6.8137, 9.3444 Å; angles 104.35, 104.35, 67.62 degrees
Sites, in units of the cell vectors:
Pr  0.1445  0.1445  0.1282
Pr  0.8555  0.8555  0.8718
Nd  0.3175  0.3175  0.5022
Nd  0.3224  0.3224  0.8728
Nd  0.6776  0.6776  0.1272
Nd  0.6825  0.6825  0.4978
Y  0.0000  0.0000  0.5000
Y  0.2142  0.6521  0.2194
Y  0.3479  0.7858  0.7806
Y  0.6521  0.2142  0.2194
Y  0.7858  0.3479  0.7806

Principal peaks in the range 15° ≤ 2θ ≤ 90°, low angle first:
2θ (°), Rel. int.
23.46, 41
28.78, 75
29.30, 43
29.66, 31
30.06, 59
30.96, 49
31.61, 45
32.15, 100


Q: What is the formula in the first record?
A: BaSi4P